1.
Diffraction record for RbVP2. The powder X-ray diffraction pattern is theoretical, not measured: it uses a cell relaxed with PBE and CuKα.
Peak positions follow from Bragg's law for the DFT cell and can differ from measured ones.

Peak list (6 most intense, 5 to 70 degrees two-theta, sorted by position)
Position (°2θ)  I_rel
24.92  100
29.64  32
40.67  26
46.71  17
49.82  28
51.12  27

Crystal structure
Cell: 6.028 6.028 13.111 Å, 90.00 90.00 90.00°
Fractional coordinates of all 16 atoms:
Rb 0.000 0.250 0.375
Rb 0.000 0.750 0.625
Rb 0.500 0.250 0.125
Rb 0.500 0.750 0.875
V 0.000 0.250 0.875
V 0.000 0.750 0.125
V 0.500 0.250 0.625
V 0.500 0.750 0.375
P 0.000 0.000 0.000
P 0.000 0.500 0.000
P 0.250 0.250 0.750
P 0.250 0.750 0.250
P 0.500 0.000 0.500
P 0.500 0.500 0.500
P 0.750 0.250 0.750
P 0.750 0.750 0.250

---

2.
Diffraction record for Rb6VP4. The powder X-ray diffraction pattern is theoretical, not measured: it uses a cell relaxed with PBE and CuKα.
Peak positions follow from Bragg's law for the DFT cell and can differ from measured ones.

Peak list (6 most intense, 5 to 70 degrees two-theta, sorted by position)
Position (°2θ)  I_rel
22.37  38
23.35  36
28.24  100
29.04  91
31.60  40
34.44  54

Crystal structure
Cell: 10.416 10.416 8.407 Å, 90.00 90.00 120.00°
Fractional coordinates of all 22 atoms:
Rb 0.066 0.533 0.000
Rb 0.145 0.290 0.318
Rb 0.145 0.855 0.318
Rb 0.290 0.145 0.818
Rb 0.467 0.533 0.000
Rb 0.467 0.934 0.000
Rb 0.533 0.066 0.500
Rb 0.533 0.467 0.500
Rb 0.710 0.855 0.318
Rb 0.855 0.145 0.818
Rb 0.855 0.710 0.818
Rb 0.934 0.467 0.500
V 0.333 0.667 0.608
V 0.667 0.333 0.108
P 0.211 0.423 0.694
P 0.211 0.789 0.694
P 0.333 0.667 0.336
P 0.423 0.211 0.194
P 0.577 0.789 0.694
P 0.667 0.333 0.836
P 0.789 0.211 0.194
P 0.789 0.577 0.194

---

3.
Diffraction record for Rb3PW. The powder X-ray diffraction pattern is theoretical, not measured: it uses a cell relaxed with PBE and CuKα.
Peak positions follow from Bragg's law for the DFT cell and can differ from measured ones.

Peak list (6 most intense, 5 to 70 degrees two-theta, sorted by position)
Position (°2θ)  I_rel
19.35  23
23.75  100
27.50  70
39.28  53
46.42  50
64.20  25

Crystal structure
Cell: 6.488 6.488 6.488 Å, 90.00 90.00 90.00°
Fractional coordinates of all 5 atoms:
Rb 0.000 0.000 0.500
Rb 0.000 0.500 0.000
Rb 0.500 0.000 0.000
P 0.000 0.000 0.000
W 0.500 0.500 0.500

---

4.
Diffraction record for Re3P. The powder X-ray diffraction pattern is theoretical, not measured: it uses a cell relaxed with PBE and CuKα.
Peak positions follow from Bragg's law for the DFT cell and can differ from measured ones.

Peak list (6 most intense, 5 to 70 degrees two-theta, sorted by position)
Position (°2θ)  I_rel
35.10  37
35.28  15
37.09  25
42.57  100
47.66  12
62.98  23

Crystal structure
Cell: 2.952 2.952 7.632 Å, 90.00 90.00 120.00°
Fractional coordinates of all 4 atoms:
Re 0.000 0.000 0.000
Re 0.667 0.333 0.281
Re 0.667 0.333 0.719
P 0.000 0.000 0.500